No. 1
Structure and simulated X-ray powder pattern of CaZn4F8 (a GGA-PBE-relaxed structure; Cu Ka).
Kinematic intensities with the Lorentz-polarization factor, no thermal factor.

Peak list (8 most intense, 10 to 90 degrees two-theta, sorted by position)
- 2θ 16.36, I 100
- 2θ 31.63, I 88
- 2θ 33.08, I 19
- 2θ 38.38, I 70
- 2θ 50.55, I 44
- 2θ 55.40, I 60
- 2θ 58.17, I 19
- 2θ 78.27, I 15

Cell and atoms:
Lattice parameters (Å, degrees): 9.382 9.382 9.382 90.00 90.00 90.00
Space group F-43m (No. 216)
Inequivalent atoms, fractional coordinates:
Ca 0.000 0.000 0.000 (multiplicity 4)
Zn 0.122 0.122 0.622 (multiplicity 16)
F 0.106 0.106 0.394 (multiplicity 16)
F 0.136 0.136 0.864 (multiplicity 16)


No. 2
Structure and simulated X-ray powder pattern of SmErPd2 (a GGA-PBE-relaxed structure; Cu Ka).
Kinematic intensities with the Lorentz-polarization factor, no thermal factor.

Peak list (8 most intense, 10 to 90 degrees two-theta, sorted by position)
- 2θ 25.19, I 4
- 2θ 35.92, I 100
- 2θ 44.38, I 1
- 2θ 51.71, I 18
- 2θ 58.36, I 2
- 2θ 64.56, I 36
- 2θ 76.15, I 11
- 2θ 87.18, I 16

Cell and atoms:
Lattice parameters (Å, degrees): 7.072 7.072 7.072 90.00 90.00 90.00
Space group Fm-3m (No. 225)
Inequivalent atoms, fractional coordinates:
Sm 0.000 0.000 0.000 (multiplicity 4)
Er 0.000 0.000 0.500 (multiplicity 4)
Pd 0.250 0.250 0.250 (multiplicity 8)


No. 3
Structure and simulated X-ray powder pattern of HoMgNi2 (a GGA-PBE-relaxed structure; Cu Ka).
Kinematic intensities with the Lorentz-polarization factor, no thermal factor.

Peak list (8 most intense, 10 to 90 degrees two-theta, sorted by position)
- 2θ 18.07, I 45
- 2θ 22.55, I 28
- 2θ 25.99, I 26
- 2θ 34.67, I 100
- 2θ 36.85, I 40
- 2θ 43.43, I 35
- 2θ 43.63, I 58
- 2θ 49.85, I 25

Cell and atoms:
Lattice parameters (Å, degrees): 3.942 3.659 9.819 90.00 90.00 90.00
Space group Amm2 (No. 38)
Inequivalent atoms, fractional coordinates:
Ho 0.000 0.000 0.000 (multiplicity 2)
Mg 0.500 0.000 0.711 (multiplicity 2)
Ni 0.000 0.000 0.281 (multiplicity 2)
Ni 0.500 0.000 0.421 (multiplicity 2)


No. 4
Structure and simulated X-ray powder pattern of InSb2Se5 (a GGA-PBE-relaxed structure; Cu Ka).
Kinematic intensities with the Lorentz-polarization factor, no thermal factor.

Peak list (8 most intense, 10 to 90 degrees two-theta, sorted by position)
- 2θ 13.53, I 59
- 2θ 16.93, I 90
- 2θ 24.51, I 45
- 2θ 30.54, I 100
- 2θ 31.31, I 97
- 2θ 36.96, I 45
- 2θ 44.30, I 72
- 2θ 49.20, I 37

Cell and atoms:
Lattice parameters (Å, degrees): 5.715 13.084 13.099 90.00 90.00 90.00
Space group Cmcm (No. 63)
Inequivalent atoms, fractional coordinates:
In 0.000 0.236 0.250 (multiplicity 4)
Sb 0.000 0.144 0.548 (multiplicity 8)
Se 0.000 0.052 0.136 (multiplicity 8)
Se 0.000 0.226 0.750 (multiplicity 4)
Se 0.000 0.336 0.068 (multiplicity 8)


No. 5
Structure and simulated X-ray powder pattern of Li7Sn2 (a GGA-PBE-relaxed structure; Cu Ka).
Kinematic intensities with the Lorentz-polarization factor, no thermal factor.

Peak list (8 most intense, 10 to 90 degrees two-theta, sorted by position)
- 2θ 21.31, I 67
- 2θ 21.96, I 48
- 2θ 22.22, I 36
- 2θ 22.91, I 71
- 2θ 26.28, I 39
- 2θ 28.03, I 31
- 2θ 38.86, I 100
- 2θ 44.31, I 20

Cell and atoms:
Lattice parameters (Å, degrees): 9.814 13.820 4.691 90.00 90.00 90.00
Space group Cmmm (No. 65)
Inequivalent atoms, fractional coordinates:
Li 0.000 0.000 0.000 (multiplicity 2)
Li 0.000 0.173 0.500 (multiplicity 4)
Li 0.000 0.500 0.500 (multiplicity 2)
Li 0.154 0.500 0.000 (multiplicity 4)
Li 0.159 0.339 0.500 (multiplicity 8)
Li 0.186 0.157 0.000 (multiplicity 8)
Sn 0.000 0.318 0.000 (multiplicity 4)
Sn 0.164 0.000 0.500 (multiplicity 4)


No. 6
Structure and simulated X-ray powder pattern of LaPm6Th2 (a GGA-PBE-relaxed structure; Cu Ka).
Kinematic intensities with the Lorentz-polarization factor, no thermal factor.

Peak list (8 most intense, 10 to 90 degrees two-theta, sorted by position)
- 2θ 28.46, I 54
- 2θ 29.43, I 63
- 2θ 31.39, I 85
- 2θ 32.93, I 100
- 2θ 41.40, I 38
- 2θ 50.40, I 45
- 2θ 55.47, I 28
- 2θ 59.45, I 53

Cell and atoms:
Lattice parameters (Å, degrees): 3.6212 3.6212 27.3127 90.00 90.00 120.00
Space group P-6m2 (No. 187)
Inequivalent atoms, fractional coordinates:
La 0.0000 0.0000 0.0000 (multiplicity 1)
Pm 0.0000 0.0000 0.2229 (multiplicity 2)
Pm 0.0000 0.0000 0.4372 (multiplicity 2)
Pm 0.3333 0.6667 0.1130 (multiplicity 2)
Th 0.3333 0.6667 0.3317 (multiplicity 2)


No. 7
Structure and simulated X-ray powder pattern of LaZn8Ni2 (a GGA-PBE-relaxed structure; Cu Ka).
Kinematic intensities with the Lorentz-polarization factor, no thermal factor.

Peak list (8 most intense, 10 to 90 degrees two-theta, sorted by position)
- 2θ 10.78, I 64
- 2θ 19.78, I 27
- 2θ 25.89, I 52
- 2θ 32.72, I 28
- 2θ 40.18, I 100
- 2θ 47.48, I 40
- 2θ 48.01, I 46
- 2θ 59.31, I 22

Cell and atoms:
Lattice parameters (Å, degrees): 5.360 5.360 8.210 90.00 90.00 90.00
Space group P4/mmm (No. 123)
Inequivalent atoms, fractional coordinates:
La 0.000 0.000 0.000 (multiplicity 1)
Zn 0.252 0.252 0.313 (multiplicity 8)
Ni 0.000 0.500 0.500 (multiplicity 2)


No. 8
Structure and simulated X-ray powder pattern of NdCoC2 (a GGA-PBE-relaxed structure; Cu Ka).
Kinematic intensities with the Lorentz-polarization factor, no thermal factor.

Peak list (8 most intense, 10 to 90 degrees two-theta, sorted by position)
- 2θ 23.66, I 36
- 2θ 24.57, I 37
- 2θ 31.71, I 100
- 2θ 34.09, I 67
- 2θ 35.62, I 64
- 2θ 36.87, I 91
- 2θ 37.97, I 33
- 2θ 48.21, I 38

Cell and atoms:
Lattice parameters (Å, degrees): 5.372 5.376 7.401 90.00 101.72 90.00
Space group Cc (No. 9)
Inequivalent atoms, fractional coordinates:
Nd 0.000 0.073 0.000 (multiplicity 4)
Co 0.058 0.429 0.693 (multiplicity 4)
C 0.329 0.181 0.773 (multiplicity 4)
C 0.482 0.076 0.925 (multiplicity 4)


No. 9
Structure and simulated X-ray powder pattern of Pm2MnBPd6 (a GGA-PBE-relaxed structure; Cu Ka).
Kinematic intensities with the Lorentz-polarization factor, no thermal factor.

Peak list (8 most intense, 10 to 90 degrees two-theta, sorted by position)
- 2θ 27.66, I 38
- 2θ 29.22, I 38
- 2θ 34.13, I 36
- 2θ 37.22, I 85
- 2θ 37.29, I 84
- 2θ 40.74, I 100
- 2θ 53.18, I 25
- 2θ 64.83, I 38

Cell and atoms:
Lattice parameters (Å, degrees): 9.968 5.751 7.260 90.00 117.31 90.00
Space group C2/m (No. 12)
Inequivalent atoms, fractional coordinates:
Pm 0.221 0.000 0.164 (multiplicity 4)
Mn 0.000 0.500 0.000 (multiplicity 2)
B 0.000 0.000 0.500 (multiplicity 2)
Pd 0.022 0.256 0.312 (multiplicity 8)
Pd 0.234 0.000 0.687 (multiplicity 4)


No. 10
Structure and simulated X-ray powder pattern of AcSiOs2 (a GGA-PBE-relaxed structure; Cu Ka).
Kinematic intensities with the Lorentz-polarization factor, no thermal factor.

Peak list (8 most intense, 10 to 90 degrees two-theta, sorted by position)
- 2θ 28.04, I 50
- 2θ 30.44, I 26
- 2θ 31.88, I 100
- 2θ 35.54, I 55
- 2θ 35.90, I 70
- 2θ 43.58, I 62
- 2θ 52.63, I 37
- 2θ 57.45, I 28

Cell and atoms:
Lattice parameters (Å, degrees): 4.153 4.153 9.546 90.00 90.00 90.00
Space group P4/nmm (No. 129, origin choice 2)
Inequivalent atoms, fractional coordinates:
Ac 0.250 0.250 0.205 (multiplicity 2)
Si 0.250 0.250 0.632 (multiplicity 2)
Os 0.250 0.250 0.882 (multiplicity 2)
Os 0.250 0.750 0.500 (multiplicity 2)


No. 11
Structure and simulated X-ray powder pattern of Sr2In6CuHg (a GGA-PBE-relaxed structure; Cu Ka).
Kinematic intensities with the Lorentz-polarization factor, no thermal factor.

Peak list (8 most intense, 10 to 90 degrees two-theta, sorted by position)
- 2θ 14.53, I 29
- 2θ 18.23, I 31
- 2θ 28.47, I 44
- 2θ 31.11, I 39
- 2θ 32.79, I 42
- 2θ 33.07, I 100
- 2θ 38.88, I 39
- 2θ 51.29, I 42

Cell and atoms:
Lattice parameters (Å, degrees): 7.1252 7.1252 39.5916 90.00 90.00 120.00
Space group R-3m (No. 166, hexagonal axes)
Inequivalent atoms, fractional coordinates:
Sr 0.0000 0.0000 0.1042 (multiplicity 6)
Sr 0.0000 0.0000 0.2775 (multiplicity 6)
In 0.0442 0.5221 0.3036 (multiplicity 18)
In 0.0526 0.5263 0.8630 (multiplicity 18)
Cu 0.0000 0.0000 0.0000 (multiplicity 3)
Cu 0.0000 0.0000 0.5000 (multiplicity 3)
Hg 0.0000 0.0000 0.4250 (multiplicity 6)


No. 12
Structure and simulated X-ray powder pattern of AlSb5Se5Cl4 (a GGA-PBE-relaxed structure; Cu Ka).
Kinematic intensities with the Lorentz-polarization factor, no thermal factor.

Peak list (8 most intense, 10 to 90 degrees two-theta, sorted by position)
- 2θ 10.14, I 100
- 2θ 14.38, I 63
- 2θ 25.14, I 34
- 2θ 26.34, I 39
- 2θ 28.23, I 38
- 2θ 28.61, I 39
- 2θ 29.03, I 30
- 2θ 31.70, I 33

Cell and atoms:
Lattice parameters (Å, degrees): 9.791 10.649 12.112 107.56 109.22 101.58
Space group P-1 (No. 2)
Inequivalent atoms, fractional coordinates:
Al 0.067 0.353 0.203 (multiplicity 2)
Sb 0.090 0.978 0.679 (multiplicity 2)
Sb 0.231 0.784 0.569 (multiplicity 2)
Sb 0.296 0.376 0.912 (multiplicity 2)
Sb 0.417 0.172 0.571 (multiplicity 2)
Sb 0.424 0.843 0.185 (multiplicity 2)
Se 0.155 0.179 0.602 (multiplicity 2)
Se 0.279 0.907 0.420 (multiplicity 2)
Se 0.357 0.136 0.900 (multiplicity 2)
Se 0.490 0.112 0.259 (multiplicity 2)
Se 0.493 0.523 0.156 (multiplicity 2)
Cl 0.088 0.555 0.195 (multiplicity 2)
Cl 0.106 0.222 0.050 (multiplicity 2)
Cl 0.166 0.745 0.823 (multiplicity 2)
Cl 0.223 0.373 0.386 (multiplicity 2)


No. 13
Structure and simulated X-ray powder pattern of F (a GGA-PBE-relaxed structure; Cu Ka).
Kinematic intensities with the Lorentz-polarization factor, no thermal factor.

Peak list (8 most intense, 10 to 90 degrees two-theta, sorted by position)
- 2θ 27.29, I 35
- 2θ 28.98, I 38
- 2θ 30.58, I 58
- 2θ 31.14, I 100
- 2θ 35.49, I 34
- 2θ 36.84, I 98
- 2θ 38.97, I 22
- 2θ 40.22, I 24

Cell and atoms:
Lattice parameters (Å, degrees): 9.244 9.244 3.022 90.00 90.00 90.00
Space group P4/m (No. 83)
Inequivalent atoms, fractional coordinates:
F 0.006 0.347 0.000 (multiplicity 4)
F 0.055 0.200 0.000 (multiplicity 4)
F 0.271 0.689 0.500 (multiplicity 4)
F 0.273 0.534 0.500 (multiplicity 4)